No. 1
Computed PXRD pattern of Y2As for Cu Ka, from a crystal structure in Alexandria, relaxed with GGA-PBE.

The 6 most intense peaks (15 to 90 degrees two-theta), by intensity:
| d (Å) | 2theta | I/Imax |
| --- | --- | --- |
| 3.054 | 29.2 | 100 |
| 2.379 | 37.8 | 70 |
| 3.003 | 29.7 | 60 |
| 1.963 | 46.2 | 40 |
| 4.709 | 18.8 | 34 |
| 1.668 | 55.0 | 26 |

Crystal structure
a = 6.570 Å, b = 6.754 Å, c = 4.011 Å
α = 90.00°, β = 90.00°, γ = 90.00°
Positions (direct):
Y 0.242 0.155 0.000
Y 0.258 0.655 0.500
Y 0.742 0.345 0.500
Y 0.758 0.845 0.000
As 0.000 0.500 0.000
As 0.500 0.000 0.500

No. 2
Computed PXRD pattern of Th4Bi5Te for Cu Ka, from a crystal structure in Alexandria, relaxed with GGA-PBE.

The 6 most intense peaks (15 to 90 degrees two-theta), by intensity:
| d (Å) | 2theta | I/Imax |
| --- | --- | --- |
| 2.775 | 32.3 | 100 |
| 2.794 | 32.0 | 96 |
| 2.505 | 35.8 | 42 |
| 2.862 | 31.3 | 38 |
| 1.593 | 57.9 | 25 |
| 4.154 | 21.4 | 25 |

Crystal structure
a = 8.945 Å, b = 8.945 Å, c = 8.262 Å
α = 90.57°, β = 90.57°, γ = 32.53°
Positions (direct):
Th 0.001 0.001 0.241
Th 0.297 0.297 0.758
Th 0.703 0.703 0.242
Th 0.999 0.999 0.759
Bi 0.156 0.156 0.495
Bi 0.157 0.157 0.004
Bi 0.500 0.500 0.500
Bi 0.843 0.843 0.996
Bi 0.844 0.844 0.505
Te 0.500 0.500 0.000

No. 3
Computed PXRD pattern of AcZr4NpN8 for Cu Ka, from a crystal structure in Alexandria, relaxed with GGA-PBE.

The 6 most intense peaks (15 to 90 degrees two-theta), by intensity:
| d (Å) | 2theta | I/Imax |
| --- | --- | --- |
| 2.860 | 31.3 | 100 |
| 3.344 | 26.7 | 45 |
| 2.877 | 31.1 | 42 |
| 1.827 | 49.9 | 25 |
| 1.685 | 54.4 | 24 |
| 1.823 | 50.0 | 24 |

Crystal structure
a = 6.741 Å, b = 6.741 Å, c = 6.741 Å
α = 59.48°, β = 59.48°, γ = 59.48°
Positions (direct):
Ac 0.000 0.000 0.000
Zr 0.370 0.370 0.882
Zr 0.370 0.882 0.370
Zr 0.747 0.747 0.747
Zr 0.882 0.370 0.370
Np 0.373 0.373 0.373
N 0.143 0.615 0.615
N 0.144 0.144 0.144
N 0.148 0.148 0.559
N 0.148 0.559 0.148
N 0.559 0.148 0.148
N 0.615 0.143 0.615
N 0.615 0.615 0.143
N 0.619 0.619 0.619

No. 4
Computed PXRD pattern of ScZnGaS4 for Cu Ka, from a crystal structure in Alexandria, relaxed with GGA-PBE.

The 6 most intense peaks (15 to 90 degrees two-theta), by intensity:
| d (Å) | 2theta | I/Imax |
| --- | --- | --- |
| 2.940 | 30.4 | 100 |
| 3.199 | 27.9 | 77 |
| 1.906 | 47.7 | 62 |
| 4.308 | 20.6 | 58 |
| 2.035 | 44.5 | 53 |
| 1.804 | 50.6 | 39 |

Crystal structure
a = 3.813 Å, b = 3.813 Å, c = 12.924 Å
α = 90.00°, β = 90.00°, γ = 120.00°
Positions (direct):
Sc 0.000 0.000 0.000
Zn 0.333 0.667 0.714
Ga 0.667 0.333 0.447
S 0.000 0.000 0.372
S 0.000 0.000 0.817
S 0.667 0.333 0.084
S 0.667 0.333 0.619

No. 5
Computed PXRD pattern of HoTm3Th2 for Cu Ka, from a crystal structure in Alexandria, relaxed with GGA-PBE.

The 6 most intense peaks (15 to 90 degrees two-theta), by intensity:
| d (Å) | 2theta | I/Imax |
| --- | --- | --- |
| 2.886 | 31.0 | 100 |
| 2.870 | 31.2 | 98 |
| 2.496 | 36.0 | 68 |
| 1.501 | 61.8 | 50 |
| 1.761 | 51.9 | 48 |
| 2.486 | 36.1 | 33 |

Crystal structure
a = 9.945 Å, b = 3.544 Å, c = 10.543 Å
α = 90.00°, β = 90.09°, γ = 90.00°
Positions (direct):
Ho 0.123 0.250 0.251
Ho 0.877 0.750 0.749
Tm 0.131 0.250 0.918
Tm 0.371 0.750 0.418
Tm 0.376 0.750 0.751
Tm 0.624 0.250 0.249
Tm 0.629 0.250 0.582
Tm 0.869 0.750 0.082
Th 0.125 0.250 0.583
Th 0.377 0.750 0.083
Th 0.623 0.250 0.917
Th 0.875 0.750 0.417

No. 6
Computed PXRD pattern of TmScP for Cu Ka, from a crystal structure in Alexandria, relaxed with GGA-PBE.

The 6 most intense peaks (15 to 90 degrees two-theta), by intensity:
| d (Å) | 2theta | I/Imax |
| --- | --- | --- |
| 2.858 | 31.3 | 100 |
| 2.204 | 40.9 | 37 |
| 3.250 | 27.4 | 30 |
| 1.876 | 48.5 | 22 |
| 1.703 | 53.8 | 20 |
| 1.568 | 58.9 | 16 |

Crystal structure
a = 3.753 Å, b = 3.753 Å, c = 6.000 Å
α = 90.00°, β = 90.00°, γ = 120.00°
Positions (direct):
Tm 0.000 0.000 0.000
Sc 0.333 0.667 0.506
P 0.667 0.333 0.272